# 1
The following is a calculated X-ray diffraction stick pattern of Cd5P4O20. It was derived from a cell relaxed with GGA-PBE, using Cu Kα (weighted mean of Kα1 and Kα2).
Lines closer than 0.1° are merged.

Crystal structure
Lattice parameters (Å, degrees): 10.2025 10.2025 9.7930 94.56 94.56 53.52
Fractional coordinates of all 58 atoms:
Cd1 0.1295 0.8705 0.7500
Cd2 0.1600 0.1892 0.8692
Cd3 0.1892 0.1600 0.3692
Cd4 0.2652 0.4080 0.1880
Cd5 0.4080 0.2652 0.6880
Cd6 0.5920 0.7348 0.3120
Cd7 0.7348 0.5920 0.8120
Cd8 0.8108 0.8400 0.6308
Cd9 0.8400 0.8108 0.1308
Cd10 0.8705 0.1295 0.2500
P1 0.0970 0.5743 0.8770
P2 0.1049 0.7313 0.4078
P3 0.2687 0.8951 0.0922
P4 0.4257 0.9030 0.6230
P5 0.5743 0.0970 0.3770
P6 0.7313 0.1049 0.9078
P7 0.8951 0.2687 0.5922
P8 0.9030 0.4257 0.1230
O1 0.0084 0.1473 0.7054
O2 0.0311 0.8050 0.5501
O3 0.0794 0.3360 0.1876
O4 0.0848 0.6014 0.0349
O5 0.1237 0.5692 0.3736
O6 0.1473 0.0084 0.2054
O7 0.1855 0.6365 0.8176
O8 0.1945 0.3452 0.5254
O9 0.1950 0.9689 0.9499
O10 0.1993 0.3863 0.8409
O11 0.2749 0.6961 0.4072
O12 0.3039 0.7251 0.0928
O13 0.3360 0.0794 0.6876
O14 0.3452 0.1945 0.0254
O15 0.3635 0.8145 0.6824
O16 0.3863 0.1993 0.3409
O17 0.3986 0.9152 0.4651
O18 0.4140 0.4880 0.6897
O19 0.4308 0.8763 0.1264
O20 0.4880 0.4140 0.1897
O21 0.5120 0.5860 0.8103
O22 0.5692 0.1237 0.8736
O23 0.5860 0.5120 0.3103
O24 0.6014 0.0848 0.5349
O25 0.6137 0.8007 0.6591
O26 0.6365 0.1855 0.3176
O27 0.6548 0.8055 0.9746
O28 0.6640 0.9206 0.3124
O29 0.6961 0.2749 0.9072
O30 0.7251 0.3039 0.5928
O31 0.8007 0.6137 0.1591
O32 0.8050 0.0311 0.0501
O33 0.8055 0.6548 0.4746
O34 0.8145 0.3635 0.1824
O35 0.8527 0.9916 0.7946
O36 0.8763 0.4308 0.6264
O37 0.9152 0.3986 0.9651
O38 0.9206 0.6640 0.8124
O39 0.9689 0.1950 0.4499
O40 0.9916 0.8527 0.2946

Most intense lines, 2θ from 5° to 70°, in order of rising 2θ:
- d = 4.877 Å, 18.19°, I 65
- d = 4.629 Å, 19.17°, I 58
- d = 3.202 Å, 27.87°, I 89
- d = 3.077 Å, 29.02°, I 100
- d = 3.024 Å, 29.53°, I 71
- d = 2.774 Å, 32.27°, I 54
- d = 2.657 Å, 33.73°, I 62
- d = 2.134 Å, 42.36°, I 58

# 2
The following is a calculated X-ray diffraction stick pattern of Cd2P6O17. It was derived from a cell relaxed with GGA-PBE, using Cu Kα (weighted mean of Kα1 and Kα2).
Lines closer than 0.1° are merged.

Crystal structure
Lattice parameters (Å, degrees): 5.6118 18.3882 7.7147 90.00 111.37 90.00
Fractional coordinates of all 50 atoms:
Cd1 0.0951 0.0729 0.3561
Cd2 0.0951 0.4271 0.8561
Cd3 0.9049 0.5729 0.1439
Cd4 0.9049 0.9271 0.6439
P1 0.2630 0.6682 0.5811
P2 0.2630 0.8318 0.0811
P3 0.2927 0.6782 0.9775
P4 0.2927 0.8218 0.4775
P5 0.4924 0.0297 0.8052
P6 0.4924 0.4703 0.3052
P7 0.5076 0.5297 0.6948
P8 0.5076 0.9703 0.1948
P9 0.7073 0.1782 0.5225
P10 0.7073 0.3218 0.0225
P11 0.7370 0.1682 0.9189
P12 0.7370 0.3318 0.4189
O1 0.0472 0.6390 0.4220
O2 0.0472 0.8610 0.9220
O3 0.0666 0.6649 0.0308
O4 0.0666 0.8351 0.5308
O5 0.1808 0.6872 0.7507
O6 0.1808 0.8128 0.2507
O7 0.2339 0.0122 0.6601
O8 0.2339 0.4878 0.1601
O9 0.2665 0.5108 0.7238
O10 0.2665 0.9892 0.2238
O11 0.3952 0.7387 0.5397
O12 0.3952 0.7613 0.0397
O13 0.4795 0.1304 0.4610
O14 0.4795 0.3696 0.9610
O15 0.4914 0.1173 0.8430
O16 0.4914 0.3827 0.3430
O17 0.5000 0.0000 0.0000
O18 0.5000 0.5000 0.5000
O19 0.5086 0.6173 0.6570
O20 0.5086 0.8827 0.1570
O21 0.5205 0.6304 0.0390
O22 0.5205 0.8696 0.5390
O23 0.6048 0.2387 0.9603
O24 0.6048 0.2613 0.4603
O25 0.7335 0.0108 0.7762
O26 0.7335 0.4892 0.2762
O27 0.7661 0.5122 0.8399
O28 0.7661 0.9878 0.3399
O29 0.8192 0.1872 0.7493
O30 0.8192 0.3128 0.2493
O31 0.9334 0.1649 0.4692
O32 0.9334 0.3351 0.9692
O33 0.9528 0.1390 0.0780
O34 0.9528 0.3610 0.5780

Most intense lines, 2θ from 5° to 70°, in order of rising 2θ:
- d = 9.194 Å, 9.62°, I 64
- d = 6.692 Å, 13.23°, I 41
- d = 5.027 Å, 17.64°, I 33
- d = 4.545 Å, 19.53°, I 100
- d = 3.977 Å, 22.35°, I 52
- d = 3.573 Å, 24.92°, I 62
- d = 3.452 Å, 25.81°, I 76
- d = 3.099 Å, 28.81°, I 36